1.
For LaPr6Pt4, the GGA-PBE geometry in Alexandria gives the calculated XRD peak list in this record (Cu Kα (weighted mean of Kα1 and Kα2)).
Intensities are scaled so that the largest is 100.

Most intense lines, 5 to 70 degrees two-theta, in order of falling intensity:
| 2θ/deg | I/Imax |
| --- | --- |
| 31.13 | 100 |
| 36.28 | 96 |
| 29.24 | 51 |
| 31.73 | 49 |
| 39.62 | 41 |
| 38.69 | 34 |
| 43.94 | 32 |
| 51.62 | 24 |
| 60.63 | 23 |
| 22.18 | 22 |

Structure:
abc: 6.139 6.139 9.402
angles: 107.03 107.03 95.66
Fractional coordinates of all 11 atoms:
La: 0.000 0.000 0.000
Pr: 0.026 0.535 0.068
Pr: 0.113 0.570 0.685
Pr: 0.464 0.464 0.404
Pr: 0.535 0.026 0.068
Pr: 0.570 0.113 0.685
Pr: 0.941 0.941 0.407
Pt: 0.114 0.114 0.752
Pt: 0.402 0.929 0.333
Pt: 0.636 0.636 0.751
Pt: 0.929 0.402 0.333

2.
For La3PrPt2, the GGA-PBE geometry in Alexandria gives the calculated XRD peak list in this record (Cu Kα (weighted mean of Kα1 and Kα2)).
Intensities are scaled so that the largest is 100.

Most intense lines, 5 to 70 degrees two-theta, in order of falling intensity:
| 2θ/deg | I/Imax |
| --- | --- |
| 34.45 | 100 |
| 30.55 | 93 |
| 38.13 | 68 |
| 28.82 | 59 |
| 14.30 | 56 |
| 51.65 | 31 |
| 45.03 | 28 |
| 37.40 | 28 |
| 61.19 | 26 |
| 29.09 | 25 |

Structure:
abc: 7.578 7.578 8.052
angles: 105.37 105.37 55.71
Fractional coordinates of all 12 atoms:
La: 0.240 0.760 0.750
La: 0.283 0.284 0.892
La: 0.284 0.283 0.392
La: 0.716 0.717 0.608
La: 0.717 0.716 0.108
La: 0.760 0.240 0.250
Pr: 0.248 0.752 0.250
Pr: 0.752 0.248 0.750
Pt: 0.124 0.124 0.062
Pt: 0.124 0.124 0.562
Pt: 0.876 0.876 0.438
Pt: 0.876 0.876 0.938

3.
For LaPrPu2, the GGA-PBE geometry in Alexandria gives the calculated XRD peak list in this record (Cu Kα (weighted mean of Kα1 and Kα2)).
Intensities are scaled so that the largest is 100.

Most intense lines, 5 to 70 degrees two-theta, in order of falling intensity:
| 2θ/deg | I/Imax |
| --- | --- |
| 31.05 | 100 |
| 36.16 | 33 |
| 61.87 | 29 |
| 51.71 | 25 |
| 35.68 | 17 |
| 61.23 | 15 |
| 64.73 | 13 |
| 52.07 | 12 |
| 17.62 | 6 |
| 25.36 | 5 |

Structure:
abc: 4.968 4.968 5.032
angles: 90.00 90.00 90.00
Fractional coordinates of all 4 atoms:
La: 0.000 0.000 0.000
Pr: 0.500 0.500 0.000
Pu: 0.000 0.500 0.500
Pu: 0.500 0.000 0.500

4.
For La8Pr6Pu, the GGA-PBE geometry in Alexandria gives the calculated XRD peak list in this record (Cu Kα (weighted mean of Kα1 and Kα2)).
Intensities are scaled so that the largest is 100.

Most intense lines, 5 to 70 degrees two-theta, in order of falling intensity:
| 2θ/deg | I/Imax |
| --- | --- |
| 31.29 | 100 |
| 32.50 | 81 |
| 27.26 | 35 |
| 29.79 | 34 |
| 33.20 | 30 |
| 51.11 | 22 |
| 65.25 | 19 |
| 54.93 | 17 |
| 45.74 | 17 |
| 11.48 | 16 |

Structure:
abc: 9.018 9.018 9.018
angles: 63.90 63.90 63.90
Fractional coordinates of all 15 atoms:
La: 0.132 0.832 0.412
La: 0.168 0.588 0.868
La: 0.242 0.242 0.242
La: 0.412 0.132 0.832
La: 0.588 0.868 0.168
La: 0.758 0.758 0.758
La: 0.832 0.412 0.132
La: 0.868 0.168 0.588
Pr: 0.091 0.359 0.658
Pr: 0.342 0.909 0.641
Pr: 0.359 0.658 0.091
Pr: 0.641 0.342 0.909
Pr: 0.658 0.091 0.359
Pr: 0.909 0.641 0.342
Pu: 0.000 0.000 0.000